(1)
For CaCd2PbO4, a GGA-PBE-relaxed structure gives the calculated X-ray diffraction stick pattern in this record (Cu Kα, 1.54184 Å).

Principal peaks in the range 10 to 80 degrees two-theta, in order of rising 2θ:
2θ/deg  d [Å]  I_rel
18.39  4.825  14
20.04  4.431  22
31.42  2.847  100
36.02  2.494  61
37.27  2.413  28
51.85  1.763  21
52.80  1.734  39
61.90  1.499  30
63.58  1.463  14
65.58  1.424  19

Structure:
```
data_CaCd2PbO4
_cell_length_a 4.9872
_cell_length_b 4.9872
_cell_length_c 9.6509
_cell_angle_alpha 90.00
_cell_angle_beta 90.00
_cell_angle_gamma 90.00
_symmetry_space_group_name_H-M 'I -4 m 2'
_symmetry_Int_Tables_number 119
_symmetry_space_group_name_Hall 'I -4 -2'
loop_
_atom_site_label
_atom_site_fract_x
_atom_site_fract_y
_atom_site_fract_z
Ca1 0.0000 0.0000 0.0000
Cd1 0.0000 0.0000 0.5000
Cd2 0.0000 0.5000 0.2500
Pb1 0.0000 0.5000 0.7500
O1 0.0000 0.0000 0.2530
O2 0.0000 0.5000 0.0142
```

=====

(2)
For HfZnPd6, a GGA-PBE-relaxed structure gives the calculated X-ray diffraction stick pattern in this record (Cu Kα, 1.54184 Å).

Principal peaks in the range 10 to 80 degrees two-theta, in order of rising 2θ:
2θ/deg  d [Å]  I_rel
15.76  5.623  6
27.61  3.231  4
35.71  2.515  2
39.34  2.290  100
42.63  2.121  2
45.64  1.988  33
45.97  1.974  16
59.54  1.553  1
66.52  1.406  10
66.78  1.401  20

Structure:
```
data_HfZnPd6
_cell_length_a 5.6226
_cell_length_b 5.6226
_cell_length_c 3.9482
_cell_angle_alpha 90.00
_cell_angle_beta 90.00
_cell_angle_gamma 90.00
_symmetry_space_group_name_H-M 'P 4/m m m'
_symmetry_Int_Tables_number 123
_symmetry_space_group_name_Hall '-P 4 2'
loop_
_atom_site_label
_atom_site_fract_x
_atom_site_fract_y
_atom_site_fract_z
Hf1 0.0000 0.0000 0.0000
Zn1 0.5000 0.5000 0.0000
Pd1 0.0000 0.5000 0.0000
Pd2 0.2517 0.2517 0.5000
```

=====

(3)
For Li2S2O7, a GGA-PBE-relaxed structure gives the calculated X-ray diffraction stick pattern in this record (Cu Kα, 1.54184 Å).

Principal peaks in the range 10 to 80 degrees two-theta, in order of rising 2θ:
2θ/deg  d [Å]  I_rel
17.05  5.202  54
19.87  4.468  96
21.40  4.152  93
23.63  3.765  25
26.72  3.336  30
27.55  3.238  100
29.37  3.041  58
29.54  3.024  59
34.49  2.601  18
35.15  2.553  49

Structure:
```
data_Li2S2O7
_cell_length_a 7.0739
_cell_length_b 8.3039
_cell_length_c 9.4722
_cell_angle_alpha 90.00
_cell_angle_beta 109.38
_cell_angle_gamma 90.00
_symmetry_space_group_name_H-M 'C 1 2/c 1'
_symmetry_Int_Tables_number 15
loop_
_symmetry_equiv_pos_as_xyz
'x,y,z'
'-x,-y,-z'
'-x,y,-z+1/2'
'x,-y,z+1/2'
'x+1/2,y+1/2,z'
'-x+1/2,-y+1/2,-z'
'-x+1/2,y+1/2,-z+1/2'
'x+1/2,-y+1/2,z+1/2'
loop_
_atom_site_label
_atom_site_fract_x
_atom_site_fract_y
_atom_site_fract_z
Li1 0.0498 0.1823 0.4743
S1 0.1890 0.4768 0.7135
O1 0.0000 0.3863 0.7500
O2 0.1158 0.3740 0.1371
O3 0.1546 0.0047 0.1403
O4 0.2368 0.3526 0.6217
```